Calculated X-ray powder pattern of DyNpCr2O6 for Cu Kα, 1.54184 Å, from a cell relaxed with GGA+U.
No peak broadening, texture or thermal motion is included.

The 10 most intense peaks (15° ≤ 2θ ≤ 90°), by angle:
2θ/deg	intensity	(hkl)
21.5	53	0 1 0
22.6	100	1 1 1
30.5	55	1 0 1
30.8	53	1 1 -1
31.3	49	0 1 2
31.9	50	-1 1 1
32.1	48	1 2 1
32.9	45	2 1 0
39.4	28	0 2 2
50.7	25	1 2 3

Atomic structure:
```
data_DyNpCr2O6
_space_group_name_H-M_alt 'P 1'
_space_group_IT_number 1
_cell_length_a 5.4403
_cell_length_b 5.5745
_cell_length_c 5.7327
_cell_angle_alpha 62.01
_cell_angle_beta 89.77
_cell_angle_gamma 61.26
loop_
_space_group_symop_operation_xyz
'x,y,z'
loop_
_atom_site_label
_atom_site_fract_x
_atom_site_fract_y
_atom_site_fract_z
Dy1 0.0000 0.0000 0.0000
Np1 0.5011 0.0050 0.4942
Cr1 0.2910 0.4267 0.8692
Cr2 0.7857 0.4376 0.3611
O1 0.0861 0.5046 0.1590
O2 0.1934 0.8826 0.6781
O3 0.4048 0.9552 0.1463
O4 0.5709 0.2714 0.6584
O5 0.6629 0.2632 0.1621
O6 0.9267 0.5142 0.6567
```